Calculated X-ray diffraction stick pattern of Na3Mn2P2C2O14 for Cu Kα (weighted mean of Kα1 and Kα2), from DFT lattice parameters and positions (PBE+U).

Top 10 peaks for 2θ = 10–80°, by intensity:
| h k l | 2θ/deg | I_rel |
| --- | --- | --- |
| 1 1 0 | 16.67 | 100 |
| 0 2 0 | 27.08 | 94 |
| 1 0 2 | 25.83 | 77 |
| 2 0 -4 | 34.54 | 57 |
| 1 1 -2 | 21.79 | 50 |
| 2 1 -2 | 24.14 | 49 |
| 2 2 0 | 33.71 | 39 |
| 0 2 2 | 33.59 | 38 |
| 2 0 -2 | 19.96 | 37 |
| 1 3 0 | 42.38 | 34 |

Unit cell a=10.2826 b=6.5861 c=10.3904 alpha=90.00 beta=118.81 gamma=90.00
Fractional positions:
Na 0.2381 0.0000 0.4890
Na 0.2403 0.4807 0.4951
Na 0.2419 0.0214 0.9925
Na 0.7581 0.5214 0.0075
Na 0.7597 0.9807 0.5049
Na 0.7619 0.5000 0.5110
Mn 0.3486 0.7353 0.3124
Mn 0.3487 0.7364 0.8209
Mn 0.6514 0.2353 0.6876
Mn 0.6513 0.2364 0.1791
P 0.4231 0.2419 0.8176
P 0.4286 0.2384 0.3212
P 0.5714 0.7384 0.6788
P 0.5769 0.7419 0.1824
C 0.0778 0.7454 0.1520
C 0.0783 0.7450 0.6558
C 0.9217 0.2450 0.3442
C 0.9222 0.2454 0.8480
O 0.0579 0.2467 0.9257
O 0.0591 0.2430 0.4254
O 0.1445 0.7479 0.7995
O 0.1468 0.7372 0.2986
O 0.1751 0.7434 0.6063
O 0.1761 0.7512 0.1049
O 0.3230 0.4282 0.7922
O 0.3299 0.0533 0.8085
O 0.3332 0.0513 0.3121
O 0.3339 0.4246 0.3141
O 0.4208 0.7384 0.5333
O 0.4289 0.7543 0.0373
O 0.4595 0.2329 0.6860
O 0.4650 0.2327 0.1915
O 0.5350 0.7327 0.8085
O 0.5405 0.7329 0.3140
O 0.5711 0.2543 0.9627
O 0.5792 0.2384 0.4667
O 0.6661 0.9246 0.6859
O 0.6668 0.5513 0.6879
O 0.6701 0.5533 0.1915
O 0.6770 0.9282 0.2078
O 0.8239 0.2512 0.8951
O 0.8249 0.2434 0.3937
O 0.8532 0.2372 0.7014
O 0.8555 0.2479 0.2005
O 0.9409 0.7430 0.5746
O 0.9421 0.7467 0.0743